Starting from a structure optimized by DFT (GGA-PBE), the XRD peak list of Tb2Si3 was computed for copper Kα.
Intensities are scaled so that the largest is 100.

Peak list (12 most intense, 2θ = 10–90°, by angle)
| d_spacing | 2theta | I_rel |
| --- | --- | --- |
| 3.867 | 23.00 | 29.6 |
| 3.737 | 23.81 | 29.3 |
| 3.452 | 25.81 | 31.4 |
| 3.031 | 29.47 | 31.2 |
| 2.968 | 30.11 | 24.4 |
| 2.591 | 34.62 | 100.0 |
| 2.278 | 39.57 | 18.5 |
| 2.250 | 40.07 | 19.7 |
| 2.014 | 45.01 | 14.7 |
| 1.941 | 46.80 | 13.1 |
| 1.777 | 51.43 | 13.8 |
| 1.772 | 51.57 | 15.9 |

```
data_Tb2Si3
_symmetry_space_group_name_H-M 'P 1'
_symmetry_Int_Tables_number 1
_symmetry_space_group_name_Hall 'P 1'
_cell_length_a 3.8824
_cell_length_b 4.0281
_cell_length_c 13.8065
_cell_angle_alpha 90.00
_cell_angle_beta 90.00
_cell_angle_gamma 90.00
loop_
_atom_site_label
_atom_site_type_symbol
_atom_site_fract_x
_atom_site_fract_y
_atom_site_fract_z
Tb1 Tb 0.0000 0.0000 0.0000
Tb2 Tb 0.0000 0.5000 0.2549
Tb3 Tb 0.5000 0.0000 0.7549
Tb4 Tb 0.5000 0.5000 0.5000
Si1 Si 0.0000 0.0000 0.4256
Si2 Si 0.0000 0.0000 0.5946
Si3 Si 0.0000 0.5000 0.8255
Si4 Si 0.5000 0.0000 0.3255
Si5 Si 0.5000 0.5000 0.0946
Si6 Si 0.5000 0.5000 0.9256
```